For Li2Mn3F8, a DFT-relaxed cell (GGA+U, Alexandria) gives the theoretical powder X-ray diffraction pattern in this record (Cu Kα).
Peak positions follow from Bragg's law for the DFT cell and can differ from measured ones.

Principal peaks in the range 2θ from 5° to 70°, in order of rising 2θ:
| two_theta | I_rel |
| --- | --- |
| 19.37 | 100 |
| 26.32 | 76 |
| 26.75 | 79 |
| 27.94 | 72 |
| 30.93 | 58 |
| 31.36 | 59 |
| 37.77 | 46 |
| 38.39 | 43 |
| 49.61 | 52 |
| 49.73 | 45 |

Cell and atoms:
Cell lengths 5.3989, 5.8490, 6.0328 Å; angles 71.68, 89.83, 63.53 degrees
Space group P-1 (No. 2)
One atom of each set of equivalent atoms:
Li: 0.0536 0.4107 0.2447 (multiplicity 2)
Mn: 0.2599 0.9706 0.8492 (multiplicity 2)
Mn: 0.5000 0.5000 0.5000 (multiplicity 1)
F: 0.0188 0.7581 0.9650 (multiplicity 2)
F: 0.0488 0.7287 0.4497 (multiplicity 2)
F: 0.4388 0.2476 0.8223 (multiplicity 2)
F: 0.4507 0.2680 0.3154 (multiplicity 2)